Starting from a cell relaxed with PBE, the powder diffractogram of SrB12H12 was calculated for CuKα.

Atomic structure:
```
50
Lattice="7.0448 0.0000 0.0000 -3.5224 6.1010 0.0000 0.0000 0.0000 11.4628" Properties=species:S:1:pos:R:3 pbc="T T T"
Sr 0.0000 4.0673 0.0000
Sr 3.5224 2.0337 5.7314
B -1.1560 2.8817 3.9438
B -1.6170 4.4733 4.5878
B -0.7092 3.3261 5.6017
B -0.9960 4.3251 2.9266
B 0.4569 2.4640 4.5878
B 0.2748 3.0759 2.9266
B -0.2873 5.0521 5.6017
B -0.4488 5.6613 3.9438
B 1.9054 1.6277 10.3192
B 0.9965 3.8237 5.6017
B 3.0736 0.4397 9.6751
B 0.7212 4.8010 2.9266
B 2.5264 1.7759 8.6580
B 1.6048 3.6590 3.9438
B 3.2351 1.0489 11.3331
B 1.1601 5.2647 4.5878
B 2.3664 3.2193 9.6751
B 2.8132 2.7749 11.3331
B 4.2436 1.2999 8.6580
B 4.6825 0.8363 10.3192
B 3.7972 3.0251 8.6580
B 4.5189 2.2773 11.3331
B 3.9793 3.6370 10.3192
B 5.1272 2.4420 9.6751
H -2.7437 4.7681 10.5632
H -1.1823 2.7931 6.5723
H -0.7791 2.7323 9.4060
H -1.7117 4.5175 1.9747
H 0.7649 1.3408 10.5632
H 0.7787 1.3329 4.8318
H 0.4660 2.3598 1.9747
H -0.7666 5.4095 9.4060
H 1.8107 1.5834 7.7061
H -0.5123 5.7283 6.5723
H 2.7558 0.6914 3.6746
H 3.0101 0.3727 0.8409
H 1.6946 3.6805 6.5723
H 1.5457 4.0601 9.4060
H 2.3401 3.3078 0.8409
H 1.2457 5.3246 1.9747
H 2.7433 3.3687 3.6746
H 4.7682 0.7764 7.7061
H 1.9788 6.0930 10.5632
H 5.5012 0.0079 4.8318
H 3.9884 3.7411 7.7061
H 5.0681 2.0409 3.6746
H 5.2170 2.4205 0.8409
H 4.2873 4.7602 4.8318
```

Peak list (10 most intense, 10 to 90 degrees two-theta, most intense first)
| 2θ (°) | I/Imax |
| --- | --- |
| 14.52 | 100 |
| 16.46 | 69 |
| 15.46 | 52 |
| 29.77 | 43 |
| 39.88 | 41 |
| 30.32 | 35 |
| 25.28 | 31 |
| 27.54 | 31 |
| 40.58 | 30 |
| 21.27 | 23 |